(1)
Ti2VSe2Cl4: calculated X-ray diffraction stick pattern (copper Kα), based on DFT lattice parameters and positions (PBE).
Kinematic intensities with the Lorentz-polarization factor, no thermal factor.

Structural model:
```
data_Ti2VSe2Cl4
_chemical_formula_sum 'Ti2 V1 Se2 Cl4'
_symmetry_space_group_name_H-M 'P 3 m 1'
_symmetry_Int_Tables_number 156
_cell_length_a 3.2996
_cell_length_b 3.2996
_cell_length_c 21.2910
_cell_angle_alpha 90.00
_cell_angle_beta 90.00
_cell_angle_gamma 120.00
loop_
_symmetry_equiv_pos_as_xyz
'x,y,z'
'-y,x-y,z'
'-x+y,-x,z'
'-y,-x,z'
'-x+y,y,z'
'x,x-y,z'
loop_
_atom_site_label
_atom_site_fract_x
_atom_site_fract_y
_atom_site_fract_z
Ti1 0.0000 0.0000 0.0000
Ti2 0.3333 0.6667 0.3255
V1 0.3333 0.6667 0.6713
Se1 0.0000 0.0000 0.5956
Se2 0.0000 0.0000 0.7469
Cl1 0.0000 0.0000 0.2514
Cl2 0.0000 0.0000 0.3994
Cl3 0.3333 0.6667 0.0741
Cl4 0.3333 0.6667 0.9262
```

Top 10 peaks for 2θ from 15° to 90°, by intensity:
- 2.373 Å, rel. 1000, hkl 1 0 5
- 2.858 Å, rel. 905, hkl 1 0 0
- 1.948 Å, rel. 721, hkl 1 0 8
- 1.650 Å, rel. 524, hkl 1 1 0
- 2.226 Å, rel. 489, hkl 0 1 6
- 2.083 Å, rel. 444, hkl 0 1 7
- 2.518 Å, rel. 288, hkl 0 1 4
- 2.651 Å, rel. 242, hkl 1 0 3
- 2.832 Å, rel. 238, hkl 0 1 1
- 1.208 Å, rel. 230, hkl 1 1 12

(2)
KHoPb2F8: calculated X-ray diffraction stick pattern (copper Kα), based on DFT lattice parameters and positions (PBE).
Kinematic intensities with the Lorentz-polarization factor, no thermal factor.

Structural model:
```
data_KHoPb2F8
_chemical_formula_sum 'K1 Ho1 Pb2 F8'
_symmetry_space_group_name_H-M 'P m m m'
_symmetry_Int_Tables_number 47
_cell_length_a 4.090
_cell_length_b 5.980
_cell_length_c 8.293
_cell_angle_alpha 90.00
_cell_angle_beta 90.00
_cell_angle_gamma 90.00
loop_
_symmetry_equiv_pos_as_xyz
'x,y,z'
'-x,-y,-z'
'-x,-y,z'
'x,y,-z'
'x,-y,-z'
'-x,y,z'
'-x,y,-z'
'x,-y,z'
loop_
_atom_site_label
_atom_site_fract_x
_atom_site_fract_y
_atom_site_fract_z
K1 0.000 0.000 0.000
Ho1 0.000 0.000 0.500
Pb1 0.500 0.500 0.244
F1 0.000 0.238 0.289
F2 0.500 0.205 0.500
F3 0.500 0.276 0.000
```

Top 10 peaks for 2θ from 15° to 90°, by intensity:
- 3.407 Å, rel. 1000, hkl 0 1 2
- 3.376 Å, rel. 987, hkl 1 1 0
- 2.086 Å, rel. 778, hkl 1 2 2
- 2.912 Å, rel. 375, hkl 1 0 2
- 1.753 Å, rel. 325, hkl 2 1 2
- 1.767 Å, rel. 310, hkl 1 1 4
- 2.990 Å, rel. 201, hkl 0 2 0
- 2.045 Å, rel. 192, hkl 2 0 0
- 2.073 Å, rel. 181, hkl 0 0 4
- 1.796 Å, rel. 168, hkl 0 3 2